Entry 1:
This entry pairs a crystal structure of CeSiAg with its simulated powder XRD pattern. Radiation: Cu Kα (λ = 1.5418 Å). Structure: a DFT-relaxed cell (GGA-PBE, the Materials Project).

Atomic structure:
```
data_CeSiAg
_chemical_formula_sum 'Ce1 Si1 Ag1'
_symmetry_space_group_name_H-M 'P -6 m 2'
_symmetry_Int_Tables_number 187
_symmetry_space_group_name_Hall 'P -6 2'
_cell_length_a 4.3840
_cell_length_b 4.3840
_cell_length_c 4.0668
_cell_angle_alpha 90.00
_cell_angle_beta 90.00
_cell_angle_gamma 120.00
loop_
_atom_site_label
_atom_site_fract_x
_atom_site_fract_y
_atom_site_fract_z
Ce1 0.0000 0.0000 0.0000
Si1 0.3333 0.6667 0.5000
Ag1 0.6667 0.3333 0.5000
```

Largest 6 diffraction maxima, in order of rising 2θ, 10 to 90 degrees two-theta:
| two_theta | I/Imax |
| --- | --- |
| 23.43 | 22 |
| 32.26 | 100 |
| 41.18 | 40 |
| 53.25 | 24 |
| 62.28 | 23 |
| 69.46 | 21 |

***

Entry 2:
This entry pairs a crystal structure of MgBi2F12 with its simulated powder XRD pattern. Radiation: Cu Kα (λ = 1.5418 Å). Structure: a DFT-relaxed cell (GGA-PBE, the Materials Project).

Atomic structure:
```
data_MgBi2F12
_chemical_formula_sum 'Mg1 Bi2 F12'
_symmetry_space_group_name_H-M 'P -4 m 2'
_symmetry_Int_Tables_number 115
_cell_length_a 6.105
_cell_length_b 6.105
_cell_length_c 7.397
_cell_angle_alpha 90.00
_cell_angle_beta 90.00
_cell_angle_gamma 90.00
loop_
_symmetry_equiv_pos_as_xyz
'x,y,z'
'y,-x,-z'
'-x,-y,z'
'-y,x,-z'
'-x,y,z'
'-y,-x,-z'
'x,-y,z'
'y,x,-z'
loop_
_atom_site_label
_atom_site_fract_x
_atom_site_fract_y
_atom_site_fract_z
Mg1 0.000 0.000 0.000
Bi1 0.000 0.500 0.227
F1 0.000 0.500 0.499
F2 0.000 0.500 0.955
F3 0.209 0.234 0.197
```

Largest 6 diffraction maxima, in order of rising 2θ, 10 to 90 degrees two-theta:
| two_theta | I/Imax |
| --- | --- |
| 18.85 | 100 |
| 20.57 | 53 |
| 31.86 | 20 |
| 35.03 | 39 |
| 39.41 | 16 |
| 41.85 | 17 |

***

Entry 3:
This entry pairs a crystal structure of Y2TeO6 with its simulated powder XRD pattern. Radiation: Cu Kα (λ = 1.5418 Å). Structure: a DFT-relaxed cell (GGA-PBE, the Materials Project).

Atomic structure:
```
data_Y2TeO6
_chemical_formula_sum 'Y4 Te2 O12'
_symmetry_space_group_name_H-M 'P 42/m n m'
_symmetry_Int_Tables_number 136
_symmetry_space_group_name_Hall '-P 4n 2n'
_cell_length_a 5.005
_cell_length_b 5.005
_cell_length_c 10.114
_cell_angle_alpha 90.00
_cell_angle_beta 90.00
_cell_angle_gamma 90.00
loop_
_atom_site_label
_atom_site_fract_x
_atom_site_fract_y
_atom_site_fract_z
Y1 0.000 0.000 0.165
Te1 0.000 0.000 0.500
O1 0.183 0.183 0.354
O2 0.223 0.223 0.000
```

Largest 6 diffraction maxima, in order of rising 2θ, 10 to 90 degrees two-theta:
| two_theta | I/Imax |
| --- | --- |
| 25.16 | 100 |
| 32.01 | 79 |
| 35.89 | 20 |
| 48.84 | 66 |
| 51.66 | 17 |
| 62.07 | 20 |